Theoretical X-ray diffraction stick pattern
Compound: Be2ZnPt3
Radiation: a wavelength of 1.5418 Å
Structure: a DFT-relaxed cell (GGA-PBE, OQMD)
Intensities are scaled so that the largest is 1000.

Structure:
a b c (Å): 2.8016 2.8016 9.6112
angles (deg): 90.00 90.00 90.00
Fractional positions:
Be  0.0000  0.0000  0.1558
Be  0.0000  0.0000  0.8442
Zn  0.0000  0.0000  0.5000
Pt  0.5000  0.5000  0.0000
Pt  0.5000  0.5000  0.3020
Pt  0.5000  0.5000  0.6980

Largest 10 diffraction maxima, in order of falling intensity, 2θ from 5° to 70°:
42.88°, I = 1000
31.94°, I = 758
45.80°, I = 510
27.85°, I = 404
54.46°, I = 264
66.78°, I = 167
37.15°, I = 137
37.43°, I = 130
60.58°, I = 129
33.31°, I = 101